Starting from DFT lattice parameters and positions (PBE+U), the X-ray powder pattern of Li2MnBPO7 was calculated for Cu Kα (λ = 1.5418 Å).

Principal peaks in the range 2θ from 5° to 70°, most intense first:
Position (°2θ)	Rel. int.	index
10.15	100	0 0 1
28.70	50	0 2 0
17.52	46	0 1 1
25.96	39	1 0 -2
19.55	29	1 0 -1
20.81	29	1 0 1

Structure:
```
Li2MnBPO7
1.0
5.1083 0.0000 0.0000
0.0000 6.2217 0.0000
-0.6142 0.0000 8.7114
Li Mn B P O
4 2 2 2 14
direct
0.2335 0.0166 0.3030
0.2335 0.4834 0.3030
0.7665 0.5166 0.6970
0.7665 0.9834 0.6970
0.2144 0.7500 0.8369
0.7856 0.2500 0.1631
0.2628 0.7500 0.5632
0.7372 0.2500 0.4368
0.2735 0.2500 0.9294
0.7265 0.7500 0.0706
0.0242 0.7500 0.6360
0.1413 0.2500 0.0829
0.1865 0.0568 0.8262
0.1865 0.4432 0.8262
0.2895 0.7500 0.4139
0.4244 0.7500 0.0337
0.4684 0.7500 0.6817
0.5316 0.2500 0.3183
0.5756 0.2500 0.9663
0.7105 0.2500 0.5861
0.8135 0.5568 0.1738
0.8135 0.9432 0.1738
0.8587 0.7500 0.9171
0.9758 0.2500 0.3640
```